Simulated powder diffraction line list of KEr3F10 for CuKα, from DFT lattice parameters and positions (GGA-PBE).

Cell and atoms:
Cell: 8.172 8.172 8.172 Å, 60.00 60.00 60.00°
Positions (direct):
K (0.250, 0.250, 0.250)
K (0.750, 0.750, 0.750)
Er (0.241, 0.241, 0.759)
Er (0.241, 0.759, 0.241)
Er (0.241, 0.759, 0.759)
Er (0.759, 0.241, 0.241)
Er (0.759, 0.241, 0.759)
Er (0.759, 0.759, 0.241)
F (0.112, 0.112, 0.112)
F (0.112, 0.112, 0.665)
F (0.112, 0.665, 0.112)
F (0.170, 0.500, 0.500)
F (0.170, 0.500, 0.830)
F (0.170, 0.830, 0.500)
F (0.335, 0.888, 0.888)
F (0.500, 0.170, 0.500)
F (0.500, 0.170, 0.830)
F (0.500, 0.500, 0.170)
F (0.500, 0.500, 0.830)
F (0.500, 0.830, 0.170)
F (0.500, 0.830, 0.500)
F (0.665, 0.112, 0.112)
F (0.830, 0.170, 0.500)
F (0.830, 0.500, 0.170)
F (0.830, 0.500, 0.500)
F (0.888, 0.335, 0.888)
F (0.888, 0.888, 0.335)
F (0.888, 0.888, 0.888)

The 8 most intense peaks (2θ from 10° to 90°), most intense first:
- 26.7°, I 100
- 52.5°, I 55
- 44.3°, I 48
- 31.0°, I 41
- 21.8°, I 22
- 15.3°, I 21
- 71.1°, I 19
- 81.6°, I 16